1.
Diffraction record for Nd7Cd2Os2. The X-ray diffraction stick pattern is computed, not measured: it uses a DFT-relaxed cell (PBE, Alexandria) and copper Kα.

Largest 12 diffraction maxima, most intense first, 10 to 80 degrees two-theta:
- 2θ 33.10, I = 100
- 2θ 28.82, I = 37
- 2θ 34.29, I = 27
- 2θ 30.80, I = 25
- 2θ 36.21, I = 20
- 2θ 45.72, I = 19
- 2θ 11.20, I = 19
- 2θ 29.53, I = 17
- 2θ 34.04, I = 14
- 2θ 40.37, I = 14
- 2θ 64.05, I = 10
- 2θ 58.91, I = 9

Crystal structure
```
data_Nd7Cd2Os2
_chemical_formula_sum 'Nd14 Cd4 Os4'
_symmetry_space_group_name_H-M 'I m m 2'
_symmetry_Int_Tables_number 44
_symmetry_space_group_name_Hall 'I 2 -2'
_cell_length_a 3.9693
_cell_length_b 15.8008
_cell_length_c 10.4371
_cell_angle_alpha 90.00
_cell_angle_beta 90.00
_cell_angle_gamma 90.00
loop_
_atom_site_label
_atom_site_type_symbol
_atom_site_fract_x
_atom_site_fract_y
_atom_site_fract_z
Nd1 Nd 0.0000 0.0000 0.0000
Nd2 Nd 0.0000 0.1481 0.5867
Nd3 Nd 0.0000 0.3111 0.3665
Nd4 Nd 0.0000 0.3609 0.7296
Cd1 Cd 0.0000 0.0000 0.3665
Cd2 Cd 0.0000 0.5000 0.2312
Os1 Os 0.0000 0.2097 0.0613
```


2.
Diffraction record for PrSm2YMg. The X-ray diffraction stick pattern is computed, not measured: it uses a DFT-relaxed cell (PBE, Alexandria) and copper Kα.

Largest 12 diffraction maxima, most intense first, 10 to 80 degrees two-theta:
- 2θ 30.62, I = 100
- 2θ 29.58, I = 35
- 2θ 31.16, I = 31
- 2θ 53.14, I = 21
- 2θ 24.58, I = 17
- 2θ 28.74, I = 15
- 2θ 38.83, I = 14
- 2θ 34.34, I = 12
- 2θ 54.44, I = 12
- 2θ 40.94, I = 12
- 2θ 69.50, I = 11
- 2θ 52.78, I = 10

Crystal structure
```
data_PrSm2YMg
_chemical_formula_sum 'Pr2 Sm4 Y2 Mg2'
_symmetry_space_group_name_H-M 'P m m a'
_symmetry_Int_Tables_number 51
_symmetry_space_group_name_Hall '-P 2a 2a'
_cell_length_a 6.0396
_cell_length_b 7.5160
_cell_length_c 7.2430
_cell_angle_alpha 90.00
_cell_angle_beta 90.00
_cell_angle_gamma 90.00
loop_
_atom_site_label
_atom_site_type_symbol
_atom_site_fract_x
_atom_site_fract_y
_atom_site_fract_z
Pr1 Pr 0.2500 0.0000 0.1676
Sm1 Sm 0.2500 0.2167 0.6931
Y1 Y 0.2500 0.5000 0.3739
Mg1 Mg 0.0000 0.5000 0.0000
```


Question: Which formula does entry 2 have?
Answer: PrSm2YMg